For ZrMn2VO6, DFT lattice parameters and positions (GGA+U) gives the calculated XRD peak list in this record (Cu Ka).

Peak list (12 most intense, 15 to 90 degrees two-theta, by angle)
2θ (°)	d_spacing	I_rel	hkl
22.94	3.877	28	1 1 0
31.57	2.834	50	1 0 -1
31.80	2.814	100	0 1 -1
33.29	2.692	41	1 -1 0
33.42	2.681	38	1 2 1
33.55	2.671	38	2 1 1
38.59	2.333	26	1 2 2
46.49	1.953	23	0 2 2
46.79	1.941	23	2 2 0
46.95	1.935	22	2 0 2
51.43	1.777	16	2 1 -1
58.66	1.574	18	1 3 0

Structure:
a = 5.343 Å, b = 5.362 Å, c = 5.641 Å
α = 61.72°, β = 62.23°, γ = 60.39°
Space group P1 (No. 1)
Asymmetric unit:
Zr 0.000 0.000 0.000 x1
Mn 0.214 0.217 0.346 x1
Mn 0.713 0.728 0.839 x1
V 0.501 0.511 0.489 x1
O 0.135 0.783 0.690 x1
O 0.286 0.628 0.211 x1
O 0.373 0.154 0.695 x1
O 0.618 0.881 0.202 x1
O 0.748 0.402 0.689 x1
O 0.864 0.294 0.206 x1